[1]
Theoretical powder X-ray diffraction pattern
Compound: CaNiP2O7
Radiation: a wavelength of 1.5418 Å
Structure: a cell relaxed with PBE+U
Kinematic intensities with the Lorentz-polarization factor, no thermal factor.

Crystal structure
Cell: 6.4595 6.5603 6.6923 Å, 66.31 87.34 82.55°
Space group P-1 (No. 2)
Unique sites:
Ca1 0.1429 0.2290 0.3259 (multiplicity 2)
Ni1 0.3523 0.4002 0.7235 (multiplicity 2)
P1 0.1433 0.7285 0.2516 (multiplicity 2)
P2 0.3735 0.8575 0.8319 (multiplicity 2)
O1 0.0273 0.3992 0.7795 (multiplicity 2)
O2 0.0679 0.8839 0.3626 (multiplicity 2)
O3 0.2221 0.8897 0.0204 (multiplicity 2)
O4 0.2731 0.7054 0.7539 (multiplicity 2)
O5 0.3307 0.5502 0.3670 (multiplicity 2)
O6 0.3750 0.0989 0.6618 (multiplicity 2)
O7 0.4105 0.2463 0.0616 (multiplicity 2)

Principal peaks in the range 10 to 90 degrees two-theta, most intense first:
(1 2 1), 29.27°, I = 100; (0 0 2), 29.15°, I = 81; (2 0 -1), 31.44°, I = 78; (2 0 1), 31.61°, I = 78; (0 2 1), 27.55°, I = 46; (0 1 1), 16.07°, I = 28; (0 3 2), 43.24°, I = 26; (1 0 -1), 19.99°, I = 21; (0 3 1), 41.80°, I = 19; (1 -2 0), 34.70°, I = 18


[2]
Theoretical powder X-ray diffraction pattern
Compound: CaNi2P2O8
Radiation: a wavelength of 1.5418 Å
Structure: a cell relaxed with PBE+U
Kinematic intensities with the Lorentz-polarization factor, no thermal factor.

Crystal structure
Cell: 17.2657 4.9555 16.7364 Å, 90.00 118.46 90.00°
Space group C2/c (No. 15)
Unique sites:
Ca1 0.1541 0.1777 0.1400 (multiplicity 8)
Ni1 0.0000 0.1550 0.2500 (multiplicity 4)
Ni2 0.0960 0.2104 0.4621 (multiplicity 8)
Ni3 0.2500 0.2500 0.0000 (multiplicity 4)
P1 0.0178 0.2909 0.6127 (multiplicity 8)
P2 0.2157 0.2307 0.3681 (multiplicity 8)
O1 0.0188 0.3988 0.1315 (multiplicity 8)
O2 0.0519 0.1164 0.6984 (multiplicity 8)
O3 0.0779 0.2063 0.9593 (multiplicity 8)
O4 0.0830 0.2464 0.5740 (multiplicity 8)
O5 0.1207 0.2484 0.3564 (multiplicity 8)
O6 0.2209 0.3336 0.2852 (multiplicity 8)
O7 0.2228 0.0820 0.5497 (multiplicity 8)
O8 0.2487 0.4392 0.1048 (multiplicity 8)

Principal peaks in the range 10 to 90 degrees two-theta, most intense first:
(3 1 1), 27.81°, I = 100; (0 0 2), 12.05°, I = 94; (5 1 -3), 31.86°, I = 80; (1 1 -1), 18.89°, I = 75; (3 1 3), 35.89°, I = 66; (0 2 0), 36.26°, I = 61; (2 0 -6), 32.59°, I = 49; (3 1 -5), 32.44°, I = 48; (6 0 2), 43.00°, I = 37; (6 0 -2), 31.45°, I = 35


[3]
Theoretical powder X-ray diffraction pattern
Compound: CaNiP2O7
Radiation: a wavelength of 1.5418 Å
Structure: a cell relaxed with PBE+U
Kinematic intensities with the Lorentz-polarization factor, no thermal factor.

Crystal structure
Cell: 6.3130 6.5564 7.0189 Å, 83.26 89.76 68.20°
Space group P-1 (No. 2)
Unique sites:
Ca1 0.2034 0.2726 0.3758 (multiplicity 2)
Ni1 0.2516 0.8718 0.8042 (multiplicity 2)
P1 0.2533 0.7804 0.3734 (multiplicity 2)
P2 0.3378 0.3410 0.8790 (multiplicity 2)
O1 0.0880 0.9977 0.2614 (multiplicity 2)
O2 0.1426 0.6208 0.4510 (multiplicity 2)
O3 0.1743 0.5840 0.8557 (multiplicity 2)
O4 0.2566 0.1887 0.7778 (multiplicity 2)
O5 0.3802 0.8447 0.5308 (multiplicity 2)
O6 0.4203 0.2525 0.0900 (multiplicity 2)
O7 0.4329 0.6516 0.2271 (multiplicity 2)

Principal peaks in the range 10 to 90 degrees two-theta, most intense first:
(1 0 -2), 29.27°, I = 100; (2 0 0), 30.53°, I = 52; (1 0 2), 30.42°, I = 51; (1 2 0), 27.72°, I = 44; (0 2 0), 29.60°, I = 35; (1 0 -1), 19.38°, I = 33; (2 -1 1), 42.11°, I = 20; (1 -1 1), 29.12°, I = 19; (1 0 -3), 41.17°, I = 18; (0 2 -1), 33.79°, I = 18


[4]
Theoretical powder X-ray diffraction pattern
Compound: CaNi3P4O14
Radiation: a wavelength of 1.5418 Å
Structure: a cell relaxed with PBE+U
Kinematic intensities with the Lorentz-polarization factor, no thermal factor.

Crystal structure
Cell: 7.3972 7.6621 9.4644 Å, 90.00 112.00 90.00°
Space group P2_1/c (No. 14)
Unique sites:
Ca1 0.0000 0.0000 0.0000 (multiplicity 2)
Ni1 0.3152 0.1273 0.4755 (multiplicity 4)
Ni2 0.5000 0.0000 0.0000 (multiplicity 2)
P1 0.0980 0.0653 0.7032 (multiplicity 4)
P2 0.3811 0.7042 0.1911 (multiplicity 4)
O1 0.1074 0.5239 0.8045 (multiplicity 4)
O2 0.1212 0.1926 0.5873 (multiplicity 4)
O3 0.1747 0.6229 0.1752 (multiplicity 4)
O4 0.2271 0.1189 0.8703 (multiplicity 4)
O5 0.3306 0.6221 0.6064 (multiplicity 4)
O6 0.4716 0.5762 0.1114 (multiplicity 4)
O7 0.4923 0.7122 0.3641 (multiplicity 4)

Principal peaks in the range 10 to 90 degrees two-theta, most intense first:
(1 2 1), 30.30°, I = 100; (2 1 -2), 28.82°, I = 52; (0 3 1), 36.64°, I = 35; (1 0 0), 12.91°, I = 35; (3 0 -2), 36.92°, I = 34; (2 1 1), 33.52°, I = 31; (1 2 -2), 30.50°, I = 30; (2 1 -3), 34.05°, I = 26; (0 0 2), 20.24°, I = 21; (2 4 0), 54.90°, I = 21


[5]
Theoretical powder X-ray diffraction pattern
Compound: CaNiSnP2O9
Radiation: a wavelength of 1.5418 Å
Structure: a cell relaxed with PBE+U
Kinematic intensities with the Lorentz-polarization factor, no thermal factor.

Crystal structure
Cell: 14.3213 6.6083 7.7717 Å, 90.00 90.00 90.00°
Space group Pnma (No. 62)
Unique sites:
Ca1 0.2093 0.2500 0.0825 (multiplicity 4)
Ni1 0.0000 0.0000 0.0000 (multiplicity 4)
Sn1 0.1171 0.2500 0.6539 (multiplicity 4)
P1 0.0666 0.7500 0.6502 (multiplicity 4)
P2 0.1889 0.7500 0.1187 (multiplicity 4)
O1 0.0048 0.2500 0.4960 (multiplicity 4)
O2 0.0192 0.7500 0.8265 (multiplicity 4)
O3 0.0619 0.2500 0.8846 (multiplicity 4)
O4 0.1312 0.5554 0.1058 (multiplicity 8)
O5 0.1351 0.5672 0.6301 (multiplicity 8)
O6 0.2296 0.2500 0.4780 (multiplicity 4)
O7 0.2481 0.7500 0.2894 (multiplicity 4)

Principal peaks in the range 10 to 90 degrees two-theta, most intense first:
(1 0 2), 23.73°, I = 100; (2 0 1), 16.84°, I = 75; (1 2 1), 30.04°, I = 45; (0 2 0), 26.98°, I = 42; (0 1 1), 17.62°, I = 37; (2 1 0), 18.27°, I = 34; (4 1 1), 30.64°, I = 32; (5 0 1), 33.34°, I = 32; (5 2 3), 55.31°, I = 29; (2 2 1), 31.98°, I = 29


[6]
Theoretical powder X-ray diffraction pattern
Compound: CaTiNiP3O12
Radiation: a wavelength of 1.5418 Å
Structure: a cell relaxed with PBE+U
Kinematic intensities with the Lorentz-polarization factor, no thermal factor.

Crystal structure
Cell: 8.6604 8.6604 21.8974 Å, 90.00 90.00 120.00°
Space group R3c (No. 161, hexagonal axes)
Unique sites:
Ca1 0.0000 0.0000 0.0000 (multiplicity 6)
Ti1 0.0000 0.0000 0.3494 (multiplicity 6)
Ni1 0.0000 0.0000 0.1433 (multiplicity 6)
P1 0.9997 0.2892 0.2460 (multiplicity 18)
O1 0.0185 0.2052 0.1879 (multiplicity 18)
O2 0.0278 0.1892 0.9136 (multiplicity 18)
O3 0.1552 0.4742 0.9709 (multiplicity 18)
O4 0.1656 0.4767 0.2481 (multiplicity 18)

Principal peaks in the range 10 to 90 degrees two-theta, most intense first:
(1 1 3), 23.89°, I = 100; (1 1 6), 32.07°, I = 69; (1 1 0), 20.51°, I = 63; (3 0 0), 35.92°, I = 27; (2 2 6), 48.91°, I = 25; (1 2 8), 46.10°, I = 20; (4 1 0), 56.20°, I = 19; (0 2 4), 28.86°, I = 19; (1 0 4), 20.08°, I = 16; (2 1 1), 31.83°, I = 16


[7]
Theoretical powder X-ray diffraction pattern
Compound: CaTiNiP2O9
Radiation: a wavelength of 1.5418 Å
Structure: a cell relaxed with PBE+U
Kinematic intensities with the Lorentz-polarization factor, no thermal factor.

Crystal structure
Cell: 14.2810 6.4913 7.5192 Å, 90.00 90.00 90.00°
Space group Pnma (No. 62)
Unique sites:
Ca1 0.2191 0.2500 0.1178 (multiplicity 4)
Ti1 0.1167 0.2500 0.6555 (multiplicity 4)
Ni1 0.0000 0.0000 0.0000 (multiplicity 4)
P1 0.0624 0.7500 0.6498 (multiplicity 4)
P2 0.1917 0.7500 0.1086 (multiplicity 4)
O1 0.0134 0.2500 0.4940 (multiplicity 4)
O2 0.0152 0.7500 0.8330 (multiplicity 4)
O3 0.0582 0.2500 0.8589 (multiplicity 4)
O4 0.1291 0.5617 0.6299 (multiplicity 8)
O5 0.1322 0.5519 0.1068 (multiplicity 8)
O6 0.2327 0.2500 0.4579 (multiplicity 4)
O7 0.2441 0.2500 0.7803 (multiplicity 4)

Principal peaks in the range 10 to 90 degrees two-theta, most intense first:
(1 0 2), 24.48°, I = 100; (1 2 1), 30.65°, I = 46; (1 0 1), 13.31°, I = 40; (5 0 1), 33.56°, I = 35; (4 0 1), 27.66°, I = 32; (2 0 1), 17.13°, I = 31; (3 2 1), 35.54°, I = 30; (0 2 0), 27.48°, I = 29; (5 2 3), 56.48°, I = 27; (2 2 0), 30.25°, I = 21